No. 1
Starting from a crystal structure in Alexandria, relaxed with PBE, the PXRD pattern of ScTeBrO4 was simulated for Cu Ka.
Intensities are scaled so that the largest is 1000.

Largest 10 diffraction maxima, by angle, 10° ≤ 2θ ≤ 90°:
d 4.696, 2θ = 18.9°, rel. 486
d 3.946, 2θ = 22.5°, rel. 223
d 3.470, 2θ = 25.7°, rel. 363
d 3.433, 2θ = 26.0°, rel. 1000
d 3.269, 2θ = 27.3°, rel. 567
d 3.041, 2θ = 29.4°, rel. 292
d 2.975, 2θ = 30.0°, rel. 644
d 2.582, 2θ = 34.7°, rel. 382
d 2.367, 2θ = 38.0°, rel. 380
d 1.904, 2θ = 47.8°, rel. 247

Crystal structure
Cell lengths 10.3987, 6.8653, 6.8660 Å; angles 90.00, 107.77, 90.00 degrees
Space group C2/m (No. 12)
Inequivalent atoms, fractional coordinates:
Sc 0.2306 0.0000 0.1235 (multiplicity 4)
Te 0.1328 0.5000 0.2656 (multiplicity 4)
Br 0.9998 0.0000 0.2408 (multiplicity 4)
O 0.0517 0.5000 0.8273 (multiplicity 4)
O 0.1931 0.5000 0.5433 (multiplicity 4)
O 0.2139 0.3064 0.1522 (multiplicity 8)

***

No. 2
Starting from a crystal structure in Alexandria, relaxed with PBE, the PXRD pattern of ScPaAg2O8 was simulated for Cu Ka.
Intensities are scaled so that the largest is 1000.

Largest 10 diffraction maxima, by angle, 10° ≤ 2θ ≤ 90°:
d 5.048, 2θ = 17.6°, rel. 250
d 4.936, 2θ = 18.0°, rel. 286
d 3.569, 2θ = 24.9°, rel. 1000
d 2.829, 2θ = 31.6°, rel. 791
d 2.524, 2θ = 35.6°, rel. 242
d 1.883, 2θ = 48.3°, rel. 682
d 1.785, 2θ = 51.2°, rel. 156
d 1.596, 2θ = 57.8°, rel. 147
d 1.541, 2θ = 60.1°, rel. 165
d 1.509, 2θ = 61.4°, rel. 207

Crystal structure
Cell lengths 7.1385, 7.1385, 6.8318 Å; angles 90.00, 90.00, 90.00 degrees
Space group I-4m2 (No. 119)
Inequivalent atoms, fractional coordinates:
Sc 0.0000 0.0000 0.0000 (multiplicity 2)
Pa 0.0000 0.5000 0.2500 (multiplicity 2)
Ag 0.0000 0.0000 0.5000 (multiplicity 2)
Ag 0.0000 0.5000 0.7500 (multiplicity 2)
O 0.0000 0.1812 0.2575 (multiplicity 8)
O 0.0000 0.3116 0.9837 (multiplicity 8)

***

No. 3
Starting from a crystal structure in Alexandria, relaxed with PBE, the PXRD pattern of Ti4ZnPd4 was simulated for Cu Ka.
Intensities are scaled so that the largest is 1000.

Largest 10 diffraction maxima, by angle, 10° ≤ 2θ ≤ 90°:
d 6.027, 2θ = 14.7°, rel. 85
d 3.516, 2θ = 25.3°, rel. 62
d 2.288, 2θ = 39.4°, rel. 1000
d 2.009, 2θ = 45.1°, rel. 334
d 1.930, 2θ = 47.1°, rel. 147
d 1.421, 2θ = 65.7°, rel. 103
d 1.392, 2θ = 67.3°, rel. 192
d 1.207, 2θ = 79.4°, rel. 235
d 1.172, 2θ = 82.3°, rel. 107
d 1.144, 2θ = 84.7°, rel. 100

Crystal structure
Cell lengths 8.5232, 8.5232, 3.8595 Å; angles 90.00, 90.00, 90.00 degrees
Space group I4/mmm (No. 139)
Inequivalent atoms, fractional coordinates:
Ti 0.0000 0.3302 0.0000 (multiplicity 8)
Zn 0.0000 0.0000 0.0000 (multiplicity 2)
Pd 0.1668 0.1668 0.5000 (multiplicity 8)